# 1
Starting from a cell relaxed with PBE+U, the PXRD pattern of CrAsO5 was computed for a wavelength of 1.5418 Å.
No peak broadening, texture or thermal motion is included.

Structural model:
```
data_CrAsO5
_cell_length_a 6.599
_cell_length_b 7.269
_cell_length_c 7.545
_cell_angle_alpha 90.00
_cell_angle_beta 90.00
_cell_angle_gamma 90.00
_symmetry_space_group_name_H-M 'P 1'
_symmetry_Int_Tables_number 1
loop_
_symmetry_equiv_pos_as_xyz
'x,y,z'
loop_
_atom_site_label
_atom_site_type_symbol
_atom_site_fract_x
_atom_site_fract_y
_atom_site_fract_z
_atom_site_occupancy
Cr1 Cr 0.051 0.214 0.481 1
Cr2 Cr 0.449 0.786 0.981 1
Cr3 Cr 0.551 0.286 0.519 1
Cr4 Cr 0.949 0.714 0.019 1
As1 As 0.242 0.419 0.859 1
As2 As 0.258 0.581 0.359 1
As3 As 0.742 0.081 0.141 1
As4 As 0.758 0.919 0.641 1
O1 O 0.039 0.444 0.376 1
O2 O 0.046 0.582 0.826 1
O3 O 0.193 0.085 0.369 1
O4 O 0.201 0.259 0.007 1
O5 O 0.223 0.673 0.134 1
O6 O 0.277 0.327 0.634 1
O7 O 0.299 0.741 0.507 1
O8 O 0.307 0.915 0.869 1
O9 O 0.454 0.418 0.326 1
O10 O 0.461 0.556 0.876 1
O11 O 0.539 0.056 0.624 1
O12 O 0.546 0.918 0.174 1
O13 O 0.693 0.415 0.631 1
O14 O 0.701 0.241 0.993 1
O15 O 0.723 0.827 0.866 1
O16 O 0.777 0.173 0.366 1
O17 O 0.799 0.759 0.493 1
O18 O 0.807 0.585 0.131 1
O19 O 0.954 0.082 0.674 1
O20 O 0.961 0.944 0.124 1
```

Peak list (6 most intense, 15° ≤ 2θ ≤ 90°, by angle)
2θ/deg  d_spacing  I_rel
16.94  5.235  37
18.16  4.886  100
26.62  3.348  42
27.23  3.275  86
32.07  2.791  59
38.74  2.324  45

***

# 2
Starting from a cell relaxed with PBE+U, the PXRD pattern of CrAs2O6 was computed for a wavelength of 1.5418 Å.
No peak broadening, texture or thermal motion is included.

Structural model:
```
data_CrAs2O6
_cell_length_a 5.664
_cell_length_b 5.664
_cell_length_c 5.622
_cell_angle_alpha 90.00
_cell_angle_beta 90.00
_cell_angle_gamma 120.00
_symmetry_space_group_name_H-M 'P 1'
_symmetry_Int_Tables_number 1
loop_
_symmetry_equiv_pos_as_xyz
'x,y,z'
loop_
_atom_site_label
_atom_site_type_symbol
_atom_site_fract_x
_atom_site_fract_y
_atom_site_fract_z
_atom_site_occupancy
Cr1 Cr 0.000 0.000 0.000 1
As1 As 0.333 0.667 0.875 1
As2 As 0.667 0.333 0.125 1
O1 O 0.166 0.332 0.791 1
O2 O 0.166 0.834 0.791 1
O3 O 0.332 0.166 0.209 1
O4 O 0.668 0.834 0.791 1
O5 O 0.834 0.166 0.209 1
O6 O 0.834 0.668 0.209 1
```

Peak list (6 most intense, 15° ≤ 2θ ≤ 90°, by angle)
2θ/deg  d_spacing  I_rel
15.76  5.622  100
24.08  3.696  92
31.59  2.832  45
35.49  2.529  51
36.85  2.439  45
59.75  1.548  21

***

# 3
Starting from a cell relaxed with PBE+U, the PXRD pattern of PmCrAsO6 was computed for a wavelength of 1.5418 Å.
No peak broadening, texture or thermal motion is included.

Structural model:
```
data_PmCrAsO6
_cell_length_a 4.826
_cell_length_b 4.826
_cell_length_c 9.410
_cell_angle_alpha 90.00
_cell_angle_beta 90.00
_cell_angle_gamma 90.00
_symmetry_space_group_name_H-M 'P 1'
_symmetry_Int_Tables_number 1
loop_
_symmetry_equiv_pos_as_xyz
'x,y,z'
loop_
_atom_site_label
_atom_site_type_symbol
_atom_site_fract_x
_atom_site_fract_y
_atom_site_fract_z
_atom_site_occupancy
Pm1 Pm 0.000 0.000 0.000 1
Pm2 Pm 0.500 0.500 0.500 1
Cr1 Cr 0.000 0.000 0.333 1
Cr2 Cr 0.500 0.500 0.833 1
As1 As 0.000 0.000 0.661 1
As2 As 0.500 0.500 0.161 1
O1 O 0.169 0.169 0.506 1
O2 O 0.204 0.204 0.800 1
O3 O 0.229 0.229 0.183 1
O4 O 0.271 0.729 0.683 1
O5 O 0.296 0.704 0.300 1
O6 O 0.331 0.669 0.006 1
O7 O 0.669 0.331 0.006 1
O8 O 0.704 0.296 0.300 1
O9 O 0.729 0.271 0.683 1
O10 O 0.771 0.771 0.183 1
O11 O 0.796 0.796 0.800 1
O12 O 0.831 0.831 0.506 1
```

Peak list (6 most intense, 15° ≤ 2θ ≤ 90°, by angle)
2θ/deg  d_spacing  I_rel
20.68  4.294  20
26.11  3.413  100
34.09  2.630  73
37.26  2.413  19
51.39  1.778  62
65.17  1.431  19

***

# 4
Starting from a cell relaxed with PBE+U, the PXRD pattern of PrCrAsO5 was computed for a wavelength of 1.5418 Å.
No peak broadening, texture or thermal motion is included.

Structural model:
```
data_PrCrAsO5
_cell_length_a 7.221
_cell_length_b 7.221
_cell_length_c 6.036
_cell_angle_alpha 114.68
_cell_angle_beta 114.68
_cell_angle_gamma 101.40
_symmetry_space_group_name_H-M 'P 1'
_symmetry_Int_Tables_number 1
loop_
_symmetry_equiv_pos_as_xyz
'x,y,z'
loop_
_atom_site_label
_atom_site_type_symbol
_atom_site_fract_x
_atom_site_fract_y
_atom_site_fract_z
_atom_site_occupancy
Pr1 Pr 0.000 0.500 0.000 1
Pr2 Pr 0.500 0.000 0.500 1
Cr1 Cr 0.087 0.913 0.750 1
Cr2 Cr 0.913 0.087 0.250 1
As1 As 0.497 0.503 0.250 1
As2 As 0.503 0.497 0.750 1
O1 O 0.177 0.822 0.502 1
O2 O 0.178 0.823 0.998 1
O3 O 0.198 0.233 0.965 1
O4 O 0.233 0.198 0.465 1
O5 O 0.354 0.646 0.750 1
O6 O 0.646 0.354 0.250 1
O7 O 0.767 0.802 0.535 1
O8 O 0.802 0.767 0.035 1
O9 O 0.822 0.177 0.002 1
O10 O 0.823 0.178 0.498 1
```

Peak list (6 most intense, 15° ≤ 2θ ≤ 90°, by angle)
2θ/deg  d_spacing  I_rel
16.69  5.311  69
28.15  3.170  65
29.60  3.018  69
30.52  2.929  53
30.98  2.887  100
43.04  2.102  62

***

# 5
Starting from a cell relaxed with PBE+U, the PXRD pattern of Rb2Cr2As2O9 was computed for a wavelength of 1.5418 Å.
No peak broadening, texture or thermal motion is included.

Structural model:
```
data_Rb2Cr2As2O9
_cell_length_a 8.752
_cell_length_b 5.805
_cell_length_c 18.799
_cell_angle_alpha 90.00
_cell_angle_beta 90.00
_cell_angle_gamma 90.00
_symmetry_space_group_name_H-M 'P 1'
_symmetry_Int_Tables_number 1
loop_
_symmetry_equiv_pos_as_xyz
'x,y,z'
loop_
_atom_site_label
_atom_site_type_symbol
_atom_site_fract_x
_atom_site_fract_y
_atom_site_fract_z
_atom_site_occupancy
Rb1 Rb 0.036 0.250 0.229 1
Rb2 Rb 0.102 0.250 0.638 1
Rb3 Rb 0.398 0.750 0.138 1
Rb4 Rb 0.464 0.750 0.729 1
Rb5 Rb 0.536 0.250 0.271 1
Rb6 Rb 0.602 0.250 0.862 1
Rb7 Rb 0.898 0.750 0.362 1
Rb8 Rb 0.964 0.750 0.771 1
Cr1 Cr 0.000 0.000 0.000 1
Cr2 Cr 0.000 0.500 0.000 1
Cr3 Cr 0.222 0.250 0.442 1
Cr4 Cr 0.278 0.750 0.942 1
Cr5 Cr 0.500 0.000 0.500 1
Cr6 Cr 0.500 0.500 0.500 1
Cr7 Cr 0.722 0.250 0.058 1
Cr8 Cr 0.778 0.750 0.558 1
As1 As 0.176 0.750 0.554 1
As2 As 0.181 0.250 0.860 1
As3 As 0.319 0.750 0.360 1
As4 As 0.324 0.250 0.054 1
As5 As 0.676 0.750 0.946 1
As6 As 0.681 0.250 0.640 1
As7 As 0.819 0.750 0.140 1
As8 As 0.824 0.250 0.446 1
O1 O 0.005 0.250 0.478 1
O2 O 0.036 0.250 0.927 1
O3 O 0.055 0.750 0.935 1
O4 O 0.088 0.250 0.782 1
O5 O 0.187 0.750 0.643 1
O6 O 0.203 0.508 0.369 1
O7 O 0.203 0.992 0.369 1
O8 O 0.229 0.003 0.020 1
O9 O 0.229 0.497 0.020 1
O10 O 0.271 0.503 0.520 1
O11 O 0.271 0.997 0.520 1
O12 O 0.297 0.008 0.869 1
O13 O 0.297 0.492 0.869 1
O14 O 0.313 0.250 0.143 1
O15 O 0.412 0.750 0.282 1
O16 O 0.445 0.250 0.435 1
O17 O 0.464 0.750 0.427 1
O18 O 0.495 0.750 0.978 1
O19 O 0.505 0.250 0.022 1
O20 O 0.536 0.250 0.573 1
O21 O 0.555 0.750 0.565 1
O22 O 0.588 0.250 0.718 1
O23 O 0.687 0.750 0.857 1
O24 O 0.703 0.508 0.131 1
O25 O 0.703 0.992 0.131 1
O26 O 0.729 0.003 0.480 1
O27 O 0.729 0.497 0.480 1
O28 O 0.771 0.503 0.980 1
O29 O 0.771 0.997 0.980 1
O30 O 0.797 0.008 0.631 1
O31 O 0.797 0.492 0.631 1
O32 O 0.813 0.250 0.357 1
O33 O 0.912 0.750 0.218 1
O34 O 0.945 0.250 0.065 1
O35 O 0.964 0.750 0.073 1
O36 O 0.995 0.750 0.522 1
```

Peak list (6 most intense, 15° ≤ 2θ ≤ 90°, by angle)
2θ/deg  d_spacing  I_rel
24.82  3.588  22
27.23  3.276  23
27.86  3.203  22
28.28  3.156  100
29.26  3.052  30
30.80  2.903  41

***

# 6
Starting from a cell relaxed with PBE+U, the PXRD pattern of RbCr2As2O6 was computed for a wavelength of 1.5418 Å.
No peak broadening, texture or thermal motion is included.

Structural model:
```
data_RbCr2As2O6
_cell_length_a 5.722
_cell_length_b 6.424
_cell_length_c 7.009
_cell_angle_alpha 66.20
_cell_angle_beta 73.52
_cell_angle_gamma 68.66
_symmetry_space_group_name_H-M 'P 1'
_symmetry_Int_Tables_number 1
loop_
_symmetry_equiv_pos_as_xyz
'x,y,z'
loop_
_atom_site_label
_atom_site_type_symbol
_atom_site_fract_x
_atom_site_fract_y
_atom_site_fract_z
_atom_site_occupancy
Rb1 Rb 0.000 0.000 0.000 1
Cr1 Cr 0.272 0.958 0.448 1
Cr2 Cr 0.728 0.042 0.552 1
As1 As 0.203 0.473 0.572 1
As2 As 0.797 0.527 0.428 1
O1 O 0.032 0.833 0.677 1
O2 O 0.327 0.686 0.348 1
O3 O 0.367 0.207 0.490 1
O4 O 0.633 0.793 0.510 1
O5 O 0.673 0.314 0.652 1
O6 O 0.968 0.167 0.323 1
```

Peak list (6 most intense, 15° ≤ 2θ ≤ 90°, by angle)
2θ/deg  d_spacing  I_rel
17.19  5.157  42
28.20  3.165  55
28.50  3.132  48
31.76  2.818  35
34.78  2.580  100
36.10  2.488  40

***

# 7
Starting from a cell relaxed with PBE+U, the PXRD pattern of SrCrAsO6 was computed for a wavelength of 1.5418 Å.
No peak broadening, texture or thermal motion is included.

Structural model:
```
data_SrCrAsO6
_cell_length_a 5.008
_cell_length_b 5.008
_cell_length_c 5.422
_cell_angle_alpha 90.00
_cell_angle_beta 90.00
_cell_angle_gamma 120.00
_symmetry_space_group_name_H-M 'P 1'
_symmetry_Int_Tables_number 1
loop_
_symmetry_equiv_pos_as_xyz
'x,y,z'
loop_
_atom_site_label
_atom_site_type_symbol
_atom_site_fract_x
_atom_site_fract_y
_atom_site_fract_z
_atom_site_occupancy
Sr1 Sr 0.000 0.000 0.000 1
Cr1 Cr 0.333 0.667 0.500 1
As1 As 0.667 0.333 0.500 1
O1 O 0.395 0.004 0.697 1
O2 O 0.395 0.391 0.303 1
O3 O 0.609 0.004 0.303 1
O4 O 0.609 0.605 0.697 1
O5 O 0.996 0.391 0.697 1
O6 O 0.996 0.605 0.303 1
```

Peak list (6 most intense, 15° ≤ 2θ ≤ 90°, by angle)
2θ/deg  d_spacing  I_rel
16.35  5.422  13
26.32  3.387  100
35.87  2.504  26
45.03  2.013  17
49.56  1.839  42
58.86  1.569  20

***

# 8
Starting from a cell relaxed with PBE+U, the PXRD pattern of Sr3CrAs2O8 was computed for a wavelength of 1.5418 Å.
No peak broadening, texture or thermal motion is included.

Structural model:
```
data_Sr3CrAs2O8
_cell_length_a 5.734
_cell_length_b 5.734
_cell_length_c 7.315
_cell_angle_alpha 90.00
_cell_angle_beta 90.00
_cell_angle_gamma 120.00
_symmetry_space_group_name_H-M 'P 1'
_symmetry_Int_Tables_number 1
loop_
_symmetry_equiv_pos_as_xyz
'x,y,z'
loop_
_atom_site_label
_atom_site_type_symbol
_atom_site_fract_x
_atom_site_fract_y
_atom_site_fract_z
_atom_site_occupancy
Sr1 Sr 0.000 0.000 0.000 1
Sr2 Sr 0.333 0.667 0.634 1
Sr3 Sr 0.667 0.333 0.366 1
Cr1 Cr 0.000 0.000 0.500 1
As1 As 0.333 0.667 0.202 1
As2 As 0.667 0.333 0.798 1
O1 O 0.164 0.328 0.326 1
O2 O 0.164 0.836 0.326 1
O3 O 0.328 0.164 0.674 1
O4 O 0.333 0.667 0.953 1
O5 O 0.667 0.333 0.047 1
O6 O 0.672 0.836 0.326 1
O7 O 0.836 0.164 0.674 1
O8 O 0.836 0.672 0.674 1
```

Peak list (6 most intense, 15° ≤ 2θ ≤ 90°, by angle)
2θ/deg  d_spacing  I_rel
30.35  2.945  69
31.20  2.867  100
44.08  2.054  44
54.99  1.670  26
55.51  1.655  19
65.06  1.434  17